For CeSi2Ir2, a PBE-relaxed structure gives the calculated XRD peak list in this record (Cu Kα (λ = 1.5418 Å)).
Kinematic intensities with the Lorentz-polarization factor, no thermal factor.

Cell and atoms:
```
data_CeSi2Ir2
_symmetry_space_group_name_H-M 'I 4/m m m'
_symmetry_Int_Tables_number 139
_symmetry_space_group_name_Hall '-I 4 2'
_cell_length_a 4.104
_cell_length_b 4.104
_cell_length_c 10.143
_cell_angle_alpha 90.00
_cell_angle_beta 90.00
_cell_angle_gamma 90.00
loop_
_atom_site_label
_atom_site_type_symbol
_atom_site_fract_x
_atom_site_fract_y
_atom_site_fract_z
_atom_site_occupancy
Ce1 Ce 0.000 0.000 0.000 1
Si1 Si 0.000 0.000 0.378 1
Ir1 Ir 0.000 0.500 0.250 1
```

Top 12 peaks for 2θ = 10–90°, by angle:
17.49°, intensity 291, (0 0 2); 23.38°, intensity 101, (1 0 1); 34.36°, intensity 129, (1 0 3); 35.40°, intensity 200, (0 0 4); 35.64°, intensity 1000, (1 1 2); 44.13°, intensity 337, (2 0 0); 47.62°, intensity 144, (1 1 4); 47.81°, intensity 92, (2 0 2); 57.80°, intensity 199, (2 0 4); 63.71°, intensity 181, (1 1 6); 64.18°, intensity 111, (2 2 0); 75.63°, intensity 229, (3 1 2)